1.
Diffraction record for PmHo2PuO8. The XRD peak list is calculated, not measured: it uses DFT lattice parameters and positions (PBE) and Cu Ka.

Atomic structure:
Cell: 5.104 5.104 7.045 Å, 90.00 90.00 90.31°
Fractional positions:
Pm (0.000, 0.000, 0.000)
Ho (0.500, 0.500, 0.242)
Ho (0.500, 0.500, 0.758)
Pu (0.000, 0.000, 0.500)
O (0.187, 0.813, 0.284)
O (0.187, 0.813, 0.716)
O (0.279, 0.279, 0.500)
O (0.315, 0.315, 0.000)
O (0.685, 0.685, 0.000)
O (0.721, 0.721, 0.500)
O (0.813, 0.187, 0.284)
O (0.813, 0.187, 0.716)

Most intense lines, 10 to 90 degrees two-theta, low angle first:
2θ 24.60, d 3.619, I = 54; 2θ 24.73, d 3.599, I = 52; 2θ 30.84, d 2.899, I = 100; 2θ 35.17, d 2.552, I = 30; 2θ 47.39, d 1.918, I = 39; 2θ 47.54, d 1.913, I = 37

***

2.
Diffraction record for PmHoRuO6. The XRD peak list is calculated, not measured: it uses DFT lattice parameters and positions (PBE) and Cu Ka.

Atomic structure:
Cell: 5.496 5.496 9.822 Å, 90.00 90.00 120.00°
Fractional positions:
Pm (0.000, 0.000, 0.000)
Pm (0.000, 0.000, 0.500)
Ho (0.333, 0.667, 0.250)
Ho (0.667, 0.333, 0.750)
Ru (0.333, 0.667, 0.750)
Ru (0.667, 0.333, 0.250)
O (0.041, 0.374, 0.638)
O (0.041, 0.666, 0.862)
O (0.334, 0.374, 0.862)
O (0.334, 0.959, 0.638)
O (0.374, 0.041, 0.138)
O (0.374, 0.334, 0.362)
O (0.626, 0.666, 0.638)
O (0.626, 0.959, 0.862)
O (0.666, 0.041, 0.362)
O (0.666, 0.626, 0.138)
O (0.959, 0.334, 0.138)
O (0.959, 0.626, 0.362)

Most intense lines, 10 to 90 degrees two-theta, low angle first:
2θ 26.07, d 3.418, I = 100; 2θ 32.58, d 2.748, I = 47; 2θ 42.19, d 2.142, I = 27; 2θ 49.80, d 1.831, I = 44; 2θ 54.30, d 1.689, I = 26; 2θ 58.14, d 1.587, I = 15